# 1
Starting from DFT lattice parameters and positions (PBE), the PXRD pattern of CsHfGa2Cl8 was computed for λ = 1.5418 Å (Cu Kα).
Peak positions follow from Bragg's law for the DFT cell and can differ from measured ones.

Most intense lines, 15° ≤ 2θ ≤ 90°, in order of falling intensity:
- 2θ 17.9, intensity 100
- 2θ 31.1, intensity 59
- 2θ 30.4, intensity 41
- 2θ 22.4, intensity 37
- 2θ 39.3, intensity 36
- 2θ 22.2, intensity 36

Structural model:
```
12
Lattice="6.783 0.000 0.000 -0.012 7.351 0.000 -0.205 -1.064 7.924" Properties=species:S:1:pos:R:3 pbc="T T T"
Cs 0.000 0.000 0.000
Hf 3.385 3.676 0.000
Ga 1.793 3.110 3.961
Ga 4.773 3.177 3.962
Cl -0.073 4.586 4.707
Cl 1.473 4.371 1.373
Cl 1.723 1.585 6.203
Cl 3.129 4.731 6.696
Cl 3.437 1.557 1.227
Cl 4.843 4.703 1.721
Cl 5.093 1.917 6.550
Cl 6.639 1.702 3.216
```

***

# 2
Starting from DFT lattice parameters and positions (PBE), the PXRD pattern of Cs2LiGaCl6 was computed for λ = 1.5418 Å (Cu Kα).
Peak positions follow from Bragg's law for the DFT cell and can differ from measured ones.

Most intense lines, 15° ≤ 2θ ≤ 90°, in order of falling intensity:
- 2θ 24.5, intensity 100
- 2θ 30.1, intensity 88
- 2θ 35.0, intensity 56
- 2θ 50.1, intensity 37
- 2θ 43.1, intensity 29
- 2θ 34.7, intensity 28

Structural model:
```
10
Lattice="-3.630 3.630 5.163 3.630 -3.630 5.163 3.630 3.630 -5.163" Properties=species:S:1:pos:R:3 pbc="T T T"
Cs 3.630 0.000 2.582
Cs 0.000 3.630 2.582
Li 0.000 0.000 0.000
Ga 0.000 0.000 5.163
Cl 1.913 1.913 0.000
Cl 1.716 -1.716 5.163
Cl 0.000 0.000 2.747
Cl 0.000 0.000 7.580
Cl -1.716 1.716 5.163
Cl 1.716 1.716 5.163
```

***

# 3
Starting from DFT lattice parameters and positions (PBE), the PXRD pattern of Cs2GaNCl6 was computed for λ = 1.5418 Å (Cu Kα).
Peak positions follow from Bragg's law for the DFT cell and can differ from measured ones.

Most intense lines, 15° ≤ 2θ ≤ 90°, in order of falling intensity:
- 2θ 23.8, intensity 100
- 2θ 30.0, intensity 99
- 2θ 36.4, intensity 72
- 2θ 48.7, intensity 44
- 2θ 31.3, intensity 42
- 2θ 43.9, intensity 39

Structural model:
```
10
Lattice="-3.492 3.492 5.720 3.492 -3.492 5.720 3.492 3.492 -5.720" Properties=species:S:1:pos:R:3 pbc="T T T"
Cs 3.492 0.000 2.860
Cs 0.000 3.492 2.860
Ga 0.000 0.000 0.000
N 0.000 0.000 5.720
Cl 0.000 0.000 2.335
Cl 1.750 1.750 0.000
Cl 1.743 -1.743 5.720
Cl -1.743 1.743 5.720
Cl 1.743 1.743 5.720
Cl 0.000 0.000 9.105
```